[1]
Structure and simulated X-ray powder pattern of B (DFT lattice parameters and positions (GGA-PBE); a wavelength of 1.5418 Å).

The 6 most intense peaks (2θ from 5° to 70°), low angle first:
15.2 deg, intensity 473, hkl 0 0 1; 16.1 deg, intensity 1000, hkl 0 1 0; 20.0 deg, intensity 305, hkl 0 1 -1; 24.2 deg, intensity 198, hkl 0 1 1; 36.2 deg, intensity 377, hkl -1 1 1; 66.8 deg, intensity 202, hkl 1 -3 3

```
data_B
_space_group_name_H-M_alt 'P 1'
_space_group_IT_number 1
_cell_length_a 2.897
_cell_length_b 5.779
_cell_length_c 5.913
_cell_angle_alpha 100.23
_cell_angle_beta 90.36
_cell_angle_gamma 103.75
loop_
_space_group_symop_operation_xyz
'x,y,z'
loop_
_atom_site_label
_atom_site_type_symbol
_atom_site_fract_x
_atom_site_fract_y
_atom_site_fract_z
B1 B 0.000 0.000 0.000
B2 B 0.005 0.024 0.555
B3 B 0.102 0.058 0.284
B4 B 0.132 0.213 0.826
B5 B 0.290 0.502 0.977
B6 B 0.426 0.756 0.862
B7 B 0.432 0.783 0.568
B8 B 0.549 0.049 0.793
B9 B 0.669 0.203 0.260
B10 B 0.789 0.484 0.201
B11 B 0.897 0.708 0.055
B12 B 0.921 0.748 0.405
```

---

[2]
Structure and simulated X-ray powder pattern of Na2SrFe (DFT lattice parameters and positions (GGA-PBE); a wavelength of 1.5418 Å).

The 6 most intense peaks (2θ from 5° to 70°), low angle first:
23.3 deg, intensity 311, hkl 2 0 0; 33.1 deg, intensity 1000, hkl 2 2 0; 47.6 deg, intensity 174, hkl 4 0 0; 53.6 deg, intensity 124, hkl 4 2 0; 59.2 deg, intensity 347, hkl 4 2 2; 69.6 deg, intensity 104, hkl 4 4 0

```
data_Na2SrFe
_space_group_name_H-M_alt 'F m -3 m'
_space_group_IT_number 225
_space_group_name_Hall '-F 4 2 3'
_cell_length_a 7.645
_cell_length_b 7.645
_cell_length_c 7.645
_cell_angle_alpha 90.00
_cell_angle_beta 90.00
_cell_angle_gamma 90.00
loop_
_atom_site_label
_atom_site_type_symbol
_atom_site_fract_x
_atom_site_fract_y
_atom_site_fract_z
Na1 Na 0.250 0.250 0.250
Sr1 Sr 0.000 0.000 0.000
Fe1 Fe 0.000 0.000 0.500
```

---

[3]
Structure and simulated X-ray powder pattern of CaGdS2 (DFT lattice parameters and positions (GGA-PBE); a wavelength of 1.5418 Å).

The 6 most intense peaks (2θ from 5° to 70°), low angle first:
15.7 deg, intensity 446, hkl 0 0 1; 22.4 deg, intensity 402, hkl 1 0 0; 27.4 deg, intensity 657, hkl 1 0 1; 31.7 deg, intensity 477, hkl 0 0 2; 31.8 deg, intensity 943, hkl 1 1 0; 45.6 deg, intensity 1000, hkl 2 0 0

```
data_CaGdS2
_space_group_name_H-M_alt 'P 4/m m m'
_space_group_IT_number 123
_space_group_name_Hall '-P 4 2'
_cell_length_a 3.977
_cell_length_b 3.977
_cell_length_c 5.647
_cell_angle_alpha 90.00
_cell_angle_beta 90.00
_cell_angle_gamma 90.00
loop_
_atom_site_label
_atom_site_type_symbol
_atom_site_fract_x
_atom_site_fract_y
_atom_site_fract_z
Ca1 Ca 0.000 0.000 0.000
Gd1 Gd 0.500 0.500 0.500
S1 S 0.000 0.000 0.500
S2 S 0.500 0.500 0.000
```

---

[4]
Structure and simulated X-ray powder pattern of MgTiSnO4 (DFT lattice parameters and positions (GGA-PBE); a wavelength of 1.5418 Å).

The 6 most intense peaks (2θ from 5° to 70°), low angle first:
23.2 deg, intensity 430, hkl 0 1 1; 27.7 deg, intensity 856, hkl 1 0 1; 29.3 deg, intensity 1000, hkl 0 1 3; 33.1 deg, intensity 555, hkl 1 0 3; 37.6 deg, intensity 662, hkl 1 1 2; 41.9 deg, intensity 436, hkl 1 0 5

```
data_MgTiSnO4
_space_group_name_H-M_alt 'I m m 2'
_space_group_IT_number 44
_cell_length_a 3.304
_cell_length_b 3.982
_cell_length_c 14.199
_cell_angle_alpha 90.00
_cell_angle_beta 90.00
_cell_angle_gamma 90.00
loop_
_space_group_symop_operation_xyz
'x,y,z'
'-x,-y,z'
'-x,y,z'
'x,-y,z'
'x+1/2,y+1/2,z+1/2'
'-x+1/2,-y+1/2,z+1/2'
'-x+1/2,y+1/2,z+1/2'
'x+1/2,-y+1/2,z+1/2'
loop_
_atom_site_label
_atom_site_type_symbol
_atom_site_fract_x
_atom_site_fract_y
_atom_site_fract_z
Mg1 Mg 0.000 0.000 0.000
Ti1 Ti 0.000 0.500 0.149
Sn1 Sn 0.000 0.000 0.351
O1 O 0.000 0.000 0.142
O2 O 0.000 0.000 0.714
O3 O 0.000 0.500 0.016
O4 O 0.000 0.500 0.418
```